For Li2Fe3SnO8, a structure optimized by DFT (PBE+U) gives the calculated PXRD pattern in this record (Cu Kα (λ = 1.5418 Å)).
Neutral-atom scattering factors, no anomalous dispersion.

Crystal structure
```
Li2Fe3SnO8
1.0
3.0095 1.7375 4.8260
-3.0095 1.7375 4.8260
0.0000 -3.4750 4.8260
Li Fe Sn O
2 3 1 8
Cartesian
0.0000 0.0000 0.0000
0.0000 0.0000 5.4972
0.0000 -1.7943 7.9977
-1.5539 0.8971 7.9977
1.5539 0.8971 7.9977
0.0000 0.0000 11.2010
0.0000 -1.5935 4.1339
-1.3800 0.7967 4.1339
0.0000 0.0000 1.9651
-1.3471 -0.7778 6.9187
1.3800 0.7967 4.1339
1.3471 -0.7778 6.9187
0.0000 1.5555 6.9187
0.0000 0.0000 9.1867
```

Peak list (8 most intense, 10 to 90 degrees two-theta, sorted by position)
| 2θ (°) | intensity |
| --- | --- |
| 18.38 | 66 |
| 21.00 | 81 |
| 30.06 | 65 |
| 34.98 | 100 |
| 35.14 | 77 |
| 35.46 | 34 |
| 61.64 | 41 |
| 62.48 | 33 |